(1)
Simulated powder X-ray diffraction pattern
Compound: YTh2Al6
Radiation: Cu Kα (λ = 1.5418 Å)
Structure: the GGA-PBE geometry in Alexandria

The 6 most intense peaks (10 to 80 degrees two-theta), low angle first:
2theta	I_rel	index
22.52	69.3	1 1 0
33.00	100.0	1 1 1
39.54	39.1	3 0 0
52.42	27.3	2 2 1
64.46	20.2	3 0 2
67.59	25.7	4 1 1

Atomic structure:
```
data_YTh2Al6
_space_group_name_H-M_alt 'P 6/m m m'
_space_group_IT_number 191
_space_group_name_Hall '-P 6 2'
_cell_length_a 7.8962
_cell_length_b 7.8962
_cell_length_c 3.7386
_cell_angle_alpha 90.00
_cell_angle_beta 90.00
_cell_angle_gamma 120.00
loop_
_atom_site_label
_atom_site_fract_x
_atom_site_fract_y
_atom_site_fract_z
Y1 0.0000 0.0000 0.0000
Th1 0.3333 0.6667 0.0000
Al1 0.0000 0.3313 0.5000
```

(2)
Simulated powder X-ray diffraction pattern
Compound: YThAl2
Radiation: Cu Kα (λ = 1.5418 Å)
Structure: the GGA-PBE geometry in Alexandria

The 6 most intense peaks (10 to 80 degrees two-theta), low angle first:
2theta	I_rel	index
21.39	47.9	1 0 0
26.59	62.6	0 1 1
30.34	100.0	1 1 -1
31.16	52.2	1 0 1
31.87	26.2	0 0 2
38.03	36.7	1 1 1

Atomic structure:
```
data_YThAl2
_space_group_name_H-M_alt 'P 1 m 1'
_space_group_IT_number 6
_cell_length_a 4.471
_cell_length_b 4.179
_cell_length_c 6.041
_cell_angle_alpha 90.00
_cell_angle_beta 111.64
_cell_angle_gamma 90.00
loop_
_space_group_symop_operation_xyz
'x,y,z'
'x,-y,z'
loop_
_atom_site_label
_atom_site_fract_x
_atom_site_fract_y
_atom_site_fract_z
Y1 0.000 0.000 0.000
Th1 0.282 0.500 0.565
Al1 0.567 0.500 0.135
Al2 0.711 0.000 0.423
```